[1]
This entry pairs a crystal structure of Sm4Ho2N with its calculated powder X-ray diffraction pattern. Radiation: Cu Kα. Structure: a DFT-relaxed cell (GGA-PBE, Alexandria).
Neutral-atom scattering factors, no anomalous dispersion.

Structural model:
Lattice parameters (Å, degrees): 4.923 4.923 17.583 90.00 90.00 90.00
Space group I4/mmm (No. 139)
Symmetry-distinct sites (fractional):
Sm 0.000 0.000 0.135 (multiplicity 4)
Sm 0.000 0.500 0.000 (multiplicity 4)
Ho 0.000 0.000 0.335 (multiplicity 4)
N 0.000 0.000 0.000 (multiplicity 2)

Top 6 peaks for 10 to 90 degrees two-theta, by angle:
| (hkl) | 2θ/deg | d (Å) | I (rel.) |
| --- | --- | --- | --- |
| 1 1 2 | 27.56 | 3.237 | 64 |
| 0 0 6 | 30.50 | 2.931 | 30 |
| 1 1 4 | 32.82 | 2.729 | 100 |
| 2 0 0 | 36.50 | 2.461 | 59 |
| 2 0 6 | 48.29 | 1.885 | 34 |
| 3 1 4 | 63.38 | 1.467 | 30 |

[2]
This entry pairs a crystal structure of Ni2H3Rh with its calculated powder X-ray diffraction pattern. Radiation: Cu Kα. Structure: a DFT-relaxed cell (GGA-PBE, Alexandria).
Neutral-atom scattering factors, no anomalous dispersion.

Structural model:
Lattice parameters (Å, degrees): 3.917 3.934 11.152 90.00 90.00 90.00
Space group Fmmm (No. 69)
Symmetry-distinct sites (fractional):
Ni 0.000 0.000 0.173 (multiplicity 8)
H 0.000 0.000 0.000 (multiplicity 4)
H 0.000 0.000 0.328 (multiplicity 8)
Rh 0.000 0.000 0.500 (multiplicity 4)

Top 6 peaks for 10 to 90 degrees two-theta, by angle:
| (hkl) | 2θ/deg | d (Å) | I (rel.) |
| --- | --- | --- | --- |
| 1 1 3 | 40.56 | 2.224 | 100 |
| 0 2 0 | 46.15 | 1.967 | 18 |
| 2 0 0 | 46.36 | 1.959 | 18 |
| 0 0 6 | 49.01 | 1.859 | 15 |
| 1 3 3 | 81.64 | 1.179 | 12 |
| 3 1 3 | 81.95 | 1.176 | 12 |

[3]
This entry pairs a crystal structure of FeCo2Si with its calculated powder X-ray diffraction pattern. Radiation: Cu Kα. Structure: a DFT-relaxed cell (GGA-PBE, Alexandria).
Neutral-atom scattering factors, no anomalous dispersion.

Structural model:
Lattice parameters (Å, degrees): 3.948 3.948 2.863 90.00 90.00 90.00
Space group P4/mmm (No. 123)
Symmetry-distinct sites (fractional):
Fe 0.000 0.000 0.000 (multiplicity 1)
Co 0.000 0.500 0.500 (multiplicity 2)
Si 0.500 0.500 0.000 (multiplicity 1)

Top 6 peaks for 10 to 90 degrees two-theta, by angle:
| (hkl) | 2θ/deg | d (Å) | I (rel.) |
| --- | --- | --- | --- |
| 1 1 1 | 45.38 | 1.999 | 100 |
| 2 0 0 | 45.98 | 1.974 | 48 |
| 0 0 2 | 65.17 | 1.431 | 8 |
| 2 2 0 | 67.05 | 1.396 | 14 |
| 2 0 2 | 83.40 | 1.159 | 15 |
| 3 1 1 | 84.70 | 1.144 | 29 |

[4]
This entry pairs a crystal structure of NaPuCO5 with its calculated powder X-ray diffraction pattern. Radiation: Cu Kα. Structure: a DFT-relaxed cell (GGA-PBE, Alexandria).
Neutral-atom scattering factors, no anomalous dispersion.

Structural model:
Lattice parameters (Å, degrees): 6.738 8.611 7.637 90.00 114.72 90.00
Space group C2/c (No. 15)
Symmetry-distinct sites (fractional):
Na 0.000 0.153 0.250 (multiplicity 4)
Pu 0.000 0.500 0.000 (multiplicity 4)
C 0.000 0.182 0.750 (multiplicity 4)
O 0.000 0.411 0.250 (multiplicity 4)
O 0.089 0.275 0.648 (multiplicity 8)
O 0.162 0.085 0.881 (multiplicity 8)

Top 6 peaks for 10 to 90 degrees two-theta, by angle:
| (hkl) | 2θ/deg | d (Å) | I (rel.) |
| --- | --- | --- | --- |
| 1 1 0 | 17.78 | 4.989 | 100 |
| 0 2 0 | 20.63 | 4.306 | 32 |
| 1 1 -2 | 25.80 | 3.453 | 62 |
| 2 0 0 | 29.18 | 3.060 | 27 |
| 0 2 2 | 33.17 | 2.701 | 30 |
| 1 3 0 | 34.51 | 2.599 | 27 |

Number 3 is which compound?
FeCo2Si